No. 1
NpOsO3: theoretical X-ray powder pattern (λ = 1.5418 Å (Cu Kα)), based on a GGA-PBE-relaxed structure.
Peak positions follow from Bragg's law for the DFT cell and can differ from measured ones.

Structure:
a = 3.983 Å, b = 3.983 Å, c = 3.983 Å
α = 90.00°, β = 90.00°, γ = 90.00°
Element x y z (fractional)
Np1 0.000 0.000 0.000
Os1 0.500 0.500 0.500
O1 0.000 0.500 0.500
O2 0.500 0.000 0.500
O3 0.500 0.500 0.000

Main lines, low angle first (2θ from 5° to 70°):
2theta	intensity
31.77	100
39.17	2
45.54	25
56.60	41
66.38	16

=====

No. 2
Na3Hg: theoretical X-ray powder pattern (λ = 1.5418 Å (Cu Kα)), based on a GGA-PBE-relaxed structure.
Peak positions follow from Bragg's law for the DFT cell and can differ from measured ones.

Structure:
a = 6.092 Å, b = 6.092 Å, c = 6.092 Å
α = 133.39°, β = 133.39°, γ = 68.04°
Element x y z (fractional)
Na1 0.000 0.000 0.000
Na2 0.250 0.750 0.500
Na3 0.750 0.250 0.500
Hg1 0.500 0.500 0.000

Main lines, low angle first (2θ from 5° to 70°):
2theta	intensity
17.56	35
20.41	100
26.14	28
31.67	85
32.44	33
37.31	28
42.90	31
63.78	22

=====

No. 3
Er5BiPd2: theoretical X-ray powder pattern (λ = 1.5418 Å (Cu Kα)), based on a GGA-PBE-relaxed structure.
Peak positions follow from Bragg's law for the DFT cell and can differ from measured ones.

Structure:
a = 8.821 Å, b = 8.821 Å, c = 8.821 Å
α = 127.92°, β = 127.92°, γ = 76.76°
Element x y z (fractional)
Er1 0.000 0.000 0.000
Er2 0.017 0.517 0.811
Er3 0.205 0.017 0.500
Er4 0.295 0.795 0.811
Er5 0.483 0.295 0.500
Er6 0.500 0.500 0.000
Er7 0.517 0.705 0.500
Er8 0.705 0.205 0.189
Er9 0.795 0.983 0.500
Er10 0.983 0.483 0.189
Bi1 0.250 0.250 0.000
Bi2 0.750 0.750 0.000
Pd1 0.138 0.362 0.500
Pd2 0.362 0.862 0.224
Pd3 0.638 0.138 0.776
Pd4 0.862 0.638 0.500

Main lines, low angle first (2θ from 5° to 70°):
2theta	intensity
30.58	36
32.33	100
34.79	37
36.69	71
41.79	16
57.05	18
66.17	21
68.32	16

=====

What is the formula in the first record?
NpOsO3